Structure and simulated powder diffraction line list of SrLiTl2Pb (a crystal structure in Alexandria, relaxed with PBE; Cu Kα (λ = 1.5418 Å)).

Peak list (10 most intense, 2θ from 10° to 90°, most intense first)
- 32.96°, rel. 100
- 28.03°, rel. 43
- 25.90°, rel. 31
- 52.81°, rel. 27
- 38.53°, rel. 23
- 32.48°, rel. 13
- 50.35°, rel. 11
- 18.99°, rel. 10
- 41.87°, rel. 10
- 62.82°, rel. 9

a = 6.3669 Å, b = 6.6826 Å, c = 6.8790 Å
α = 90.00°, β = 90.00°, γ = 90.00°
Space group Pmma (No. 51)
Symmetry-distinct sites (fractional):
Sr: 0.2500 0.0000 0.2266 [2 per cell]
Li: 0.0000 0.5000 0.0000 [2 per cell]
Tl: 0.2500 0.2457 0.7430 [4 per cell]
Pb: 0.2500 0.5000 0.3547 [2 per cell]